Starting from a crystal structure in Alexandria, relaxed with PBE, the X-ray diffraction stick pattern of MgSiAgPd was computed for Cu Kα (weighted mean of Kα1 and Kα2).
Lines closer than 0.1° are merged.

Peak list (6 most intense, 2θ from 10° to 80°, sorted by position)
28.21°, d 3.163, I 48, hkl 2 0 0; 40.32°, d 2.237, I 100, hkl 2 2 0; 49.94°, d 1.826, I 13, hkl 2 2 2; 58.35°, d 1.582, I 16, hkl 4 0 0; 66.05°, d 1.415, I 16, hkl 4 2 0; 73.31°, d 1.291, I 32, hkl 4 2 2

Cell: 6.326 6.326 6.326 Å, 90.00 90.00 90.00°
Space group F-43m (No. 216)
Asymmetric unit:
Mg  0.000  0.000  0.000
Si  0.000  0.000  0.500
Ag  0.250  0.250  0.750
Pd  0.250  0.250  0.250